Entry 1:
For CaAl2Cl8, DFT lattice parameters and positions (PBE) gives the calculated powder diffractogram in this record (Cu Kα, 1.54184 Å).
Kinematic intensities with the Lorentz-polarization factor, no thermal factor.

Structure:
Cell: 17.9530 9.1345 12.0107 Å, 90.00 128.10 90.00°
Space group C2/c (No. 15)
One atom of each set of equivalent atoms:
Ca (0.0000, 0.0027, 0.2500)
Al (0.0905, 0.2465, 0.5410)
Cl (0.0558, 0.2156, 0.1485)
Cl (0.0970, 0.2178, 0.7277)
Cl (0.1488, 0.4495, 0.5496)
Cl (0.1606, 0.0613, 0.5241)

Most intense lines, 5 to 70 degrees two-theta, by intensity:
h k l	2θ (°)	Rel. int.
4 2 -2	28.07	100
1 1 0	11.54	59
2 0 0	12.53	50
2 0 2	28.47	50
3 1 -1	17.86	46
1 1 1	17.15	37
6 2 0	43.23	33
4 0 2	40.16	27
4 0 0	25.22	26
3 1 -3	24.32	25

=====

Entry 2:
For CaAl2Cl8, DFT lattice parameters and positions (PBE) gives the calculated powder diffractogram in this record (Cu Kα, 1.54184 Å).
Kinematic intensities with the Lorentz-polarization factor, no thermal factor.

Structure:
Cell: 11.7570 11.7570 19.6985 Å, 90.00 90.00 90.00°
Space group I4_1/acd (No. 142, origin choice 2)
One atom of each set of equivalent atoms:
Ca (0.0000, 0.2500, 0.3750)
Al (0.0207, 0.0000, 0.2500)
Cl (0.0848, 0.0333, 0.8384)
Cl (0.0965, 0.1307, 0.0072)

Most intense lines, 5 to 70 degrees two-theta, by intensity:
h k l	2θ (°)	Rel. int.
3 2 1	27.73	100
2 1 5	28.31	89
2 0 2	17.57	65
1 1 2	13.94	60
4 2 4	38.83	25
6 2 4	52.61	23
4 0 4	35.57	23
2 1 7	36.21	22
6 3 3	54.16	19
5 1 2	40.17	16

=====

Entry 3:
For CaAlH4Cl, DFT lattice parameters and positions (PBE) gives the calculated powder diffractogram in this record (Cu Kα, 1.54184 Å).
Kinematic intensities with the Lorentz-polarization factor, no thermal factor.

Structure:
Cell: 9.7280 6.9655 6.6511 Å, 90.00 104.53 90.00°
Space group C2/m (No. 12)
One atom of each set of equivalent atoms:
Ca (0.2143, 0.0000, 0.1253)
Al (0.1283, 0.5000, 0.2580)
H (0.0429, 0.5000, 0.7958)
H (0.1840, 0.3237, 0.1327)
H (0.1992, 0.5000, 0.5048)
Cl (0.0258, 0.0000, 0.7535)

Most intense lines, 5 to 70 degrees two-theta, by intensity:
h k l	2θ (°)	Rel. int.
0 2 0	25.58	100
3 1 -1	31.17	66
3 1 -2	36.92	56
0 0 1	13.75	38
1 1 0	15.83	33
0 0 2	27.71	28
1 1 2	34.14	26
2 0 1	26.10	25
0 2 2	38.07	22
3 3 -1	48.70	20

=====

Entry 4:
For Ca6Al7ClO16, DFT lattice parameters and positions (PBE) gives the calculated powder diffractogram in this record (Cu Kα, 1.54184 Å).
Kinematic intensities with the Lorentz-polarization factor, no thermal factor.

Structure:
Cell: 12.1328 12.1328 12.0733 Å, 90.00 90.00 90.00°
Space group I-42d (No. 122)
One atom of each set of equivalent atoms:
Ca (0.0000, 0.0000, 0.2299)
Ca (0.1139, 0.2500, 0.6250)
Ca (0.1330, 0.7500, 0.1250)
Al (0.0000, 0.0000, 0.5000)
Al (0.0170, 0.7323, 0.8918)
Al (0.1264, 0.2500, 0.1250)
Cl (0.0000, 0.0000, 0.0000)
O (0.0374, 0.1945, 0.2258)
O (0.0558, 0.5996, 0.8396)
O (0.0675, 0.1895, 0.8055)
O (0.1513, 0.7183, 0.3208)

Most intense lines, 5 to 70 degrees two-theta, by intensity:
h k l	2θ (°)	Rel. int.
1 1 2	17.94	100
4 2 0	33.03	83
2 2 4	36.34	58
2 0 4	33.15	44
4 0 0	29.45	34
6 2 4	56.84	32
6 4 0	54.59	29
5 2 3	46.15	21
5 2 1	40.75	19
3 2 1	27.53	18

=====

Entry 5:
For Ca2AlCo, DFT lattice parameters and positions (PBE) gives the calculated powder diffractogram in this record (Cu Kα, 1.54184 Å).
Kinematic intensities with the Lorentz-polarization factor, no thermal factor.

Structure:
Cell: 11.3860 3.5044 5.1656 Å, 90.00 116.85 90.00°
Space group Cm (No. 8)
One atom of each set of equivalent atoms:
Ca (0.0000, 0.0000, 0.0000)
Ca (0.1972, 0.0000, 0.6967)
Al (0.4046, 0.0000, 0.4046)
Co (0.2493, 0.5000, 0.2482)

Most intense lines, 5 to 70 degrees two-theta, by intensity:
h k l	2θ (°)	Rel. int.
1 1 1	35.65	100
2 0 -2	34.73	33
4 0 -1	31.59	20
1 1 -3	62.86	17
2 2 -2	64.21	15
0 0 1	19.28	14
4 0 0	35.34	13
2 0 0	17.46	12
5 1 0	52.03	10
0 2 0	52.20	10